Starting from a structure optimized by DFT (GGA-PBE), the XRD peak list of NdDyAg4 was computed for CuKα.
Neutral-atom scattering factors, no anomalous dispersion.

Top 10 peaks for 2θ from 10° to 80°, in order of rising 2θ:
2θ 31.1, intensity 37; 2θ 36.7, intensity 100; 2θ 38.3, intensity 31; 2θ 44.6, intensity 1; 2θ 55.3, intensity 15; 2θ 59.0, intensity 32; 2θ 64.9, intensity 26; 2θ 73.7, intensity 6; 2θ 76.9, intensity 11; 2θ 77.9, intensity 11

Structure:
```
NdDyAg4
1.0
0.000 4.066 4.066
4.066 0.000 4.066
4.066 4.066 0.000
Nd Dy Ag
1 1 4
Cartesian
0.000 0.000 0.000
2.033 2.033 2.033
5.080 3.052 3.052
3.052 5.080 3.052
3.052 3.052 5.080
5.080 5.080 5.080
```

---

Starting from a structure optimized by DFT (GGA-PBE), the XRD peak list of Tb3Sm2Ru3 was computed for CuKα.
Neutral-atom scattering factors, no anomalous dispersion.

Top 10 peaks for 2θ from 10° to 80°, in order of rising 2θ:
2θ 27.4, intensity 20; 2θ 34.1, intensity 12; 2θ 35.0, intensity 34; 2θ 35.5, intensity 100; 2θ 40.5, intensity 15; 2θ 43.0, intensity 11; 2θ 52.4, intensity 11; 2θ 63.1, intensity 19; 2θ 64.6, intensity 11; 2θ 70.7, intensity 16

Structure:
```
Tb3Sm2Ru3
1.0
-1.745 2.564 10.524
1.745 -2.564 10.524
1.745 2.564 -10.524
Tb Sm Ru
3 2 3
Cartesian
0.000 0.000 0.000
1.745 0.000 8.242
0.000 2.564 2.282
0.000 0.000 4.563
0.000 0.000 16.484
1.745 0.000 2.378
0.000 0.000 10.524
0.000 2.564 8.146
```

---

Starting from a structure optimized by DFT (GGA-PBE), the XRD peak list of ZrTeP was computed for CuKα.
Neutral-atom scattering factors, no anomalous dispersion.

Top 10 peaks for 2θ from 10° to 80°, in order of rising 2θ:
2θ 17.2, intensity 40; 2θ 25.5, intensity 100; 2θ 28.4, intensity 59; 2θ 33.9, intensity 79; 2θ 34.1, intensity 81; 2θ 41.6, intensity 70; 2θ 43.6, intensity 33; 2θ 44.2, intensity 42; 2θ 44.4, intensity 34; 2θ 44.7, intensity 33

Structure:
```
ZrTeP
1.0
3.382 0.000 0.000
1.686 4.308 0.000
0.064 1.186 10.291
Zr Te P
2 2 2
Cartesian
0.842 1.570 1.543
4.290 3.924 8.748
0.906 1.333 6.904
4.226 4.161 3.388
2.543 3.363 0.398
2.589 2.131 9.893
```